Structure and computed X-ray powder pattern of Pm4Y4Tm3 (a cell relaxed with PBE; a wavelength of 1.5418 Å).

Atomic structure:
Unit cell a=3.535 b=5.626 c=18.188 alpha=98.89 beta=95.57 gamma=90.00
Atoms (fractional coordinates):
Pm: 0.046 0.047 0.092
Pm: 0.179 0.680 0.359
Pm: 0.821 0.320 0.641
Pm: 0.954 0.953 0.908
Y: 0.090 0.591 0.181
Y: 0.233 0.233 0.465
Y: 0.767 0.767 0.535
Y: 0.910 0.409 0.819
Tm: 0.364 0.863 0.727
Tm: 0.500 0.500 0.000
Tm: 0.636 0.137 0.273

Top 12 peaks for 15 to 90 degrees two-theta, in order of falling intensity:
2.815 Å, 31.8°, I = 100, (0 2 -1)
2.838 Å, 31.5°, I = 59, (1 -1 2)
2.907 Å, 30.8°, I = 27, (1 0 -4)
1.497 Å, 62.0°, I = 19, (2 1 4)
2.022 Å, 44.8°, I = 19, (-1 2 3)
1.625 Å, 56.6°, I = 19, (0 3 4)
1.196 Å, 80.2°, I = 14, (2 3 3)
1.617 Å, 56.9°, I = 12, (1 -2 8)
1.629 Å, 56.5°, I = 12, (1 -3 3)
1.977 Å, 45.9°, I = 11, (1 0 7)
1.407 Å, 66.4°, I = 11, (0 4 -2)
2.952 Å, 30.3°, I = 11, (-1 1 1)